(1)
Computed XRD peak list
Compound: ZrPdS3
Radiation: Cu Kα (weighted mean of Kα1 and Kα2)
Structure: DFT lattice parameters and positions (GGA-PBE)

Main lines, by angle (2θ from 10° to 90°):
- d = 4.728 Å, rel. 59, (0 4 0)
- d = 3.094 Å, rel. 73, (1 1 1)
- d = 2.414 Å, rel. 100, (1 5 1)
- d = 2.214 Å, rel. 55, (0 6 2)
- d = 2.047 Å, rel. 47, (1 7 1)
- d = 1.793 Å, rel. 37, (1 1 3)

Structural model:
Lattice parameters (Å, degrees): 3.631 18.910 6.224 90.00 90.00 90.00
Space group Cmc2_1 (No. 36)
One atom of each set of equivalent atoms:
Zr: 0.000 0.160 0.000
Pd: 0.000 0.337 0.936
S: 0.000 0.087 0.321
S: 0.000 0.245 0.623
S: 0.000 0.403 0.299

(2)
Computed XRD peak list
Compound: Ag2Pd8Pt3
Radiation: Cu Kα (weighted mean of Kα1 and Kα2)
Structure: DFT lattice parameters and positions (GGA-PBE)

Main lines, by angle (2θ from 10° to 90°):
- d = 8.560 Å, rel. 41, (0 2 0)
- d = 2.427 Å, rel. 21, (2 6 0)
- d = 2.308 Å, rel. 43, (4 0 0)
- d = 2.082 Å, rel. 100, (2 4 1)
- d = 1.390 Å, rel. 19, (0 0 2)
- d = 1.284 Å, rel. 20, (6 4 1)

Structural model:
Lattice parameters (Å, degrees): 9.232 17.120 2.781 90.00 90.00 90.00
Space group Cmmm (No. 65)
One atom of each set of equivalent atoms:
Ag: 0.000 0.230 0.000
Pd: 0.000 0.083 0.500
Pd: 0.000 0.366 0.500
Pd: 0.247 0.143 0.000
Pt: 0.000 0.500 0.000
Pt: 0.249 0.000 0.500

(3)
Computed XRD peak list
Compound: Ba4NO2
Radiation: Cu Kα (weighted mean of Kα1 and Kα2)
Structure: DFT lattice parameters and positions (GGA-PBE)

Main lines, by angle (2θ from 10° to 90°):
- d = 3.414 Å, rel. 100, (1 1 2)
- d = 3.350 Å, rel. 38, (2 0 0)
- d = 2.369 Å, rel. 20, (2 2 0)
- d = 1.984 Å, rel. 23, (2 0 4)
- d = 1.946 Å, rel. 36, (3 1 2)
- d = 1.707 Å, rel. 10, (2 2 4)

Structural model:
Lattice parameters (Å, degrees): 6.700 6.700 9.847 90.00 90.00 90.00
Space group I-42m (No. 121)
One atom of each set of equivalent atoms:
Ba: 0.230 0.230 0.135
N: 0.000 0.000 0.000
O: 0.000 0.500 0.250

(4)
Computed XRD peak list
Compound: Tl2CrRhSe
Radiation: Cu Kα (weighted mean of Kα1 and Kα2)
Structure: DFT lattice parameters and positions (GGA-PBE)

Main lines, by angle (2θ from 10° to 90°):
- d = 4.355 Å, rel. 29, (0 0 1)
- d = 2.914 Å, rel. 100, (1 1 1)
- d = 2.774 Å, rel. 78, (2 0 0)
- d = 1.961 Å, rel. 29, (2 2 0)
- d = 1.713 Å, rel. 37, (2 0 2)
- d = 1.627 Å, rel. 36, (3 1 1)

Structural model:
Lattice parameters (Å, degrees): 5.547 5.547 4.355 90.00 90.00 90.00
Space group P4/mmm (No. 123)
One atom of each set of equivalent atoms:
Tl: 0.000 0.500 0.000
Cr: 0.000 0.000 0.500
Rh: 0.500 0.500 0.500
Se: 0.000 0.000 0.000

(5)
Computed XRD peak list
Compound: MnCu2Os
Radiation: Cu Kα (weighted mean of Kα1 and Kα2)
Structure: DFT lattice parameters and positions (GGA-PBE)

Main lines, by angle (2θ from 10° to 90°):
- d = 4.525 Å, rel. 31, (0 0 1)
- d = 4.213 Å, rel. 34, (2 0 0)
- d = 2.158 Å, rel. 100, (1 1 1)
- d = 2.143 Å, rel. 47, (2 0 -2)
- d = 2.107 Å, rel. 47, (4 0 0)
- d = 1.846 Å, rel. 61, (3 1 -1)

Structural model:
Lattice parameters (Å, degrees): 8.538 2.642 4.586 90.00 99.31 90.00
Space group Cm (No. 8)
One atom of each set of equivalent atoms:
Mn: 0.000 0.000 0.000
Cu: 0.000 0.500 0.501
Cu: 0.251 0.500 0.291
Os: 0.252 0.000 0.795

(6)
Computed XRD peak list
Compound: SmNi5
Radiation: Cu Kα (weighted mean of Kα1 and Kα2)
Structure: DFT lattice parameters and positions (GGA-PBE)

Main lines, by angle (2θ from 10° to 90°):
- d = 2.904 Å, rel. 48, (1 0 1)
- d = 2.466 Å, rel. 32, (1 1 0)
- d = 2.136 Å, rel. 35, (2 0 0)
- d = 2.093 Å, rel. 100, (1 1 1)
- d = 1.980 Å, rel. 26, (0 0 2)
- d = 1.340 Å, rel. 22, (3 0 1)

Structural model:
Lattice parameters (Å, degrees): 4.9328 4.9328 3.9597 90.00 90.00 120.00
Space group P6/mmm (No. 191)
One atom of each set of equivalent atoms:
Sm: 0.0000 0.0000 0.0000
Ni: 0.0000 0.5000 0.5000
Ni: 0.3333 0.6667 0.0000

(7)
Computed XRD peak list
Compound: DyEr2Si2Pt7
Radiation: Cu Kα (weighted mean of Kα1 and Kα2)
Structure: DFT lattice parameters and positions (GGA-PBE)

Main lines, by angle (2θ from 10° to 90°):
- d = 2.615 Å, rel. 47, (0 2 2)
- d = 2.586 Å, rel. 62, (2 0 -3)
- d = 2.472 Å, rel. 82, (2 0 2)
- d = 2.402 Å, rel. 100, (0 2 3)
- d = 2.010 Å, rel. 89, (2 2 -1)
- d = 1.242 Å, rel. 45, (4 2 1)

Structural model:
Lattice parameters (Å, degrees): 5.715 5.665 13.770 90.00 99.08 90.00
Space group C2/m (No. 12)
One atom of each set of equivalent atoms:
Dy: 0.000 0.000 0.000
Er: 0.122 0.000 0.357
Si: 0.100 0.500 0.259
Pt: 0.000 0.500 0.000
Pt: 0.139 0.500 0.430
Pt: 0.187 0.250 0.837

(8)
Computed XRD peak list
Compound: Pm5Y3Er3
Radiation: Cu Kα (weighted mean of Kα1 and Kα2)
Structure: DFT lattice parameters and positions (GGA-PBE)

Main lines, by angle (2θ from 10° to 90°):
- d = 3.072 Å, rel. 38, (3 0 0)
- d = 2.929 Å, rel. 51, (0 1 2)
- d = 2.859 Å, rel. 100, (2 1 0)
- d = 2.777 Å, rel. 67, (2 0 2)
- d = 1.644 Å, rel. 39, (2 1 4)
- d = 1.523 Å, rel. 34, (2 2 2)

Structural model:
Lattice parameters (Å, degrees): 10.429 3.646 11.136 90.00 117.91 90.00
Space group Pm (No. 6)
One atom of each set of equivalent atoms:
Pm: 0.000 0.000 0.000
Pm: 0.092 0.000 0.360
Pm: 0.319 0.500 0.684
Pm: 0.416 0.000 0.008
Pm: 0.683 0.000 0.368
Y: 0.039 0.000 0.683
Y: 0.322 0.500 0.232
Y: 0.774 0.500 0.136
Er: 0.464 0.000 0.516
Er: 0.632 0.000 0.852
Er: 0.769 0.500 0.684